Simulated powder diffraction line list of MgCrGaO4 for Cu Ka, from a DFT-relaxed cell (PBE+U, the Materials Project).

abc: 5.203 3.026 5.211
angles: 90.00 104.58 90.00
Space group Pm (No. 6)
Unique sites:
Mg 0.000 0.000 0.000 (multiplicity 1)
Cr 0.288 0.500 0.714 (multiplicity 1)
Ga 0.674 0.000 0.328 (multiplicity 1)
O 0.019 0.000 0.607 (multiplicity 1)
O 0.395 0.000 0.984 (multiplicity 1)
O 0.522 0.500 0.481 (multiplicity 1)
O 0.857 0.500 0.146 (multiplicity 1)

Most intense lines, 2θ = 10–90°, low angle first:
21.6 deg, 4.119 Å, intensity 60.7, (1 0 -1)
28.0 deg, 3.185 Å, intensity 100.0, (1 0 1)
34.6 deg, 2.594 Å, intensity 70.6, (1 1 0)
35.6 deg, 2.522 Å, intensity 49.9, (2 0 -1)
46.9 deg, 1.937 Å, intensity 64.6, (1 1 -2)
53.9 deg, 1.701 Å, intensity 63.6, (2 1 -2)

Simulated powder diffraction line list of ZnCrGe2O6 for Cu Ka, from a DFT-relaxed cell (PBE+U, the Materials Project).

abc: 10.044 9.228 5.477
angles: 90.00 103.99 90.00
Space group C2/c (No. 15)
Unique sites:
Zn 0.000 0.249 0.250 (multiplicity 4)
Cr 0.000 0.096 0.750 (multiplicity 4)
Ge 0.197 0.412 0.743 (multiplicity 8)
O 0.113 0.255 0.604 (multiplicity 8)
O 0.122 0.083 0.167 (multiplicity 8)
O 0.140 0.440 0.028 (multiplicity 8)

Most intense lines, 2θ = 10–90°, low angle first:
25.6 deg, 3.484 Å, intensity 32.9, (0 2 1)
26.6 deg, 3.350 Å, intensity 33.5, (2 2 0)
29.1 deg, 3.069 Å, intensity 100.0, (3 1 0)
33.8 deg, 2.654 Å, intensity 87.4, (0 0 2)
33.9 deg, 2.643 Å, intensity 33.1, (2 2 1)
62.4 deg, 1.489 Å, intensity 28.5, (5 3 1)

Simulated powder diffraction line list of Li2VFeP2H2O10 for Cu Ka, from a DFT-relaxed cell (PBE+U, the Materials Project).

abc: 6.968 7.409 7.989
angles: 91.18 92.67 117.28
Space group P-1 (No. 2)
Unique sites:
Li 0.071 0.323 0.175 (multiplicity 2)
Li 0.427 0.677 0.324 (multiplicity 2)
V 0.000 0.000 0.500 (multiplicity 1)
V 0.500 0.500 0.000 (multiplicity 1)
Fe 0.000 0.500 0.500 (multiplicity 1)
Fe 0.500 0.000 0.000 (multiplicity 1)
P 0.019 0.732 0.158 (multiplicity 2)
P 0.482 0.269 0.342 (multiplicity 2)
H 0.209 0.837 0.649 (multiplicity 2)
H 0.290 0.159 0.849 (multiplicity 2)
O 0.034 0.120 0.738 (multiplicity 2)
O 0.056 0.773 0.606 (multiplicity 2)
O 0.113 0.619 0.272 (multiplicity 2)
O 0.175 0.842 0.019 (multiplicity 2)
O 0.189 0.426 0.940 (multiplicity 2)
O 0.310 0.571 0.558 (multiplicity 2)
O 0.325 0.159 0.480 (multiplicity 2)
O 0.388 0.381 0.227 (multiplicity 2)
O 0.443 0.222 0.895 (multiplicity 2)
O 0.465 0.879 0.761 (multiplicity 2)

Most intense lines, 2θ = 10–90°, low angle first:
17.6 deg, 5.040 Å, intensity 29.9, (1 0 -1)
18.7 deg, 4.742 Å, intensity 37.7, (1 0 1)
26.5 deg, 3.370 Å, intensity 59.1, (1 -2 1)
26.8 deg, 3.332 Å, intensity 100.0, (-1 2 1)
28.9 deg, 3.090 Å, intensity 68.5, (2 0 0)
35.9 deg, 2.499 Å, intensity 29.0, (1 0 -3)

Simulated powder diffraction line list of MgV4O8 for Cu Ka, from a DFT-relaxed cell (PBE+U, the Materials Project).

abc: 5.278 6.447 5.279
angles: 90.00 114.21 90.00
Space group Pm (No. 6)
Unique sites:
Mg 0.000 0.000 0.000 (multiplicity 1)
V 0.009 0.500 0.987 (multiplicity 1)
V 0.311 0.000 0.687 (multiplicity 1)
V 0.655 0.256 0.343 (multiplicity 2)
O 0.376 0.500 0.121 (multiplicity 1)
O 0.420 0.000 0.067 (multiplicity 1)
O 0.425 0.209 0.570 (multiplicity 2)
O 0.875 0.500 0.621 (multiplicity 1)
O 0.898 0.272 0.099 (multiplicity 2)
O 0.930 0.000 0.580 (multiplicity 1)

Most intense lines, 2θ = 10–90°, low angle first:
23.1 deg, 3.857 Å, intensity 47.9, (1 1 0)
24.4 deg, 3.652 Å, intensity 31.1, (1 1 -1)
31.2 deg, 2.867 Å, intensity 48.0, (1 0 1)
33.5 deg, 2.678 Å, intensity 100.0, (0 2 1)
34.1 deg, 2.626 Å, intensity 60.8, (2 0 -1)
60.1 deg, 1.540 Å, intensity 41.9, (3 2 -1)

Simulated powder diffraction line list of Li4VF8 for Cu Ka, from a DFT-relaxed cell (PBE+U, the Materials Project).

abc: 5.176 6.082 5.273
angles: 90.00 112.12 90.00
Space group P2 (No. 3)
Unique sites:
Li 0.000 0.000 0.000 (multiplicity 1)
Li 0.000 0.202 0.500 (multiplicity 1)
Li 0.000 0.756 0.500 (multiplicity 1)
Li 0.500 0.807 0.000 (multiplicity 1)
V 0.000 0.488 0.000 (multiplicity 1)
F 0.199 0.974 0.762 (multiplicity 2)
F 0.205 0.502 0.767 (multiplicity 2)
F 0.214 0.271 0.233 (multiplicity 2)
F 0.238 0.711 0.216 (multiplicity 2)

Most intense lines, 2θ = 10–90°, low angle first:
14.6 deg, 6.082 Å, intensity 60.1, (0 1 0)
18.2 deg, 4.885 Å, intensity 54.3, (0 0 1)
18.5 deg, 4.795 Å, intensity 100.0, (1 0 0)
25.2 deg, 3.529 Å, intensity 40.8, (1 1 -1)
41.7 deg, 2.167 Å, intensity 46.3, (2 0 -2)
43.0 deg, 2.105 Å, intensity 92.8, (1 2 1)

Simulated powder diffraction line list of Ba2Fe2O5 for Cu Ka, from a DFT-relaxed cell (PBE+U, the Materials Project).

abc: 16.395 5.916 5.807
angles: 90.00 90.00 90.00
Space group Ima2 (No. 46)
Unique sites:
Ba 0.112 0.010 0.000 (multiplicity 8)
Fe 0.000 0.000 0.497 (multiplicity 4)
Fe 0.250 0.569 0.026 (multiplicity 4)
O 0.004 0.747 0.249 (multiplicity 8)
O 0.140 0.037 0.487 (multiplicity 8)
O 0.250 0.659 0.344 (multiplicity 4)

Most intense lines, 2θ = 10–90°, low angle first:
30.2 deg, 2.958 Å, intensity 29.7, (0 2 0)
30.7 deg, 2.914 Å, intensity 100.0, (4 1 1)
30.8 deg, 2.904 Å, intensity 32.2, (0 0 2)
43.7 deg, 2.072 Å, intensity 30.4, (0 2 2)
54.0 deg, 1.699 Å, intensity 17.5, (4 3 1)
54.7 deg, 1.678 Å, intensity 20.3, (4 1 3)

Simulated powder diffraction line list of Li4Mn3Co3Sn2O16 for Cu Ka, from a DFT-relaxed cell (PBE+U, the Materials Project).

abc: 5.975 10.234 11.314
angles: 116.59 104.45 90.01
Space group P1 (No. 1)
Unique sites:
Li 0.000 0.000 0.000 (multiplicity 1)
Li 0.038 0.376 0.095 (multiplicity 1)
Li 0.248 0.907 0.497 (multiplicity 1)
Li 0.288 0.619 0.593 (multiplicity 1)
Li 0.499 0.498 0.998 (multiplicity 1)
Li 0.538 0.876 0.095 (multiplicity 1)
Li 0.746 0.407 0.497 (multiplicity 1)
Li 0.788 0.120 0.593 (multiplicity 1)
Mn 0.146 0.652 0.817 (multiplicity 1)
Mn 0.394 0.072 0.317 (multiplicity 1)
Mn 0.402 0.903 0.813 (multiplicity 1)
Mn 0.646 0.151 0.815 (multiplicity 1)
Mn 0.893 0.572 0.316 (multiplicity 1)
Mn 0.900 0.402 0.813 (multiplicity 1)
Co 0.150 0.318 0.317 (multiplicity 1)
Co 0.157 0.149 0.817 (multiplicity 1)
Co 0.402 0.571 0.313 (multiplicity 1)
Co 0.647 0.818 0.315 (multiplicity 1)
Co 0.652 0.649 0.815 (multiplicity 1)
Co 0.901 0.071 0.314 (multiplicity 1)
Sn 0.040 0.712 0.092 (multiplicity 1)
Sn 0.285 0.286 0.592 (multiplicity 1)
Sn 0.537 0.211 0.092 (multiplicity 1)
Sn 0.791 0.788 0.593 (multiplicity 1)
O 0.079 0.249 0.700 (multiplicity 1)
O 0.088 0.592 0.203 (multiplicity 1)
O 0.095 0.748 0.698 (multiplicity 1)
O 0.112 0.098 0.210 (multiplicity 1)
O 0.184 0.535 0.407 (multiplicity 1)
O 0.206 0.572 0.945 (multiplicity 1)
O 0.219 0.060 0.435 (multiplicity 1)
O 0.237 0.063 0.939 (multiplicity 1)
O 0.332 0.353 0.201 (multiplicity 1)
O 0.338 0.516 0.705 (multiplicity 1)
O 0.350 0.856 0.205 (multiplicity 1)
O 0.372 0.010 0.710 (multiplicity 1)
O 0.435 0.785 0.908 (multiplicity 1)
O 0.441 0.284 0.439 (multiplicity 1)
O 0.453 0.276 0.927 (multiplicity 1)
O 0.496 0.788 0.440 (multiplicity 1)
O 0.585 0.091 0.202 (multiplicity 1)
O 0.586 0.750 0.699 (multiplicity 1)
O 0.590 0.245 0.696 (multiplicity 1)
O 0.610 0.596 0.207 (multiplicity 1)
O 0.682 0.037 0.408 (multiplicity 1)
O 0.703 0.070 0.945 (multiplicity 1)
O 0.719 0.561 0.435 (multiplicity 1)
O 0.742 0.562 0.939 (multiplicity 1)
O 0.833 0.852 0.202 (multiplicity 1)
O 0.846 0.356 0.203 (multiplicity 1)
O 0.850 0.020 0.708 (multiplicity 1)
O 0.866 0.513 0.711 (multiplicity 1)
O 0.926 0.287 0.909 (multiplicity 1)
O 0.944 0.784 0.439 (multiplicity 1)
O 0.972 0.783 0.935 (multiplicity 1)
O 0.990 0.285 0.438 (multiplicity 1)

Most intense lines, 2θ = 10–90°, low angle first:
19.4 deg, 4.585 Å, intensity 46.6, (1 1 0)
19.6 deg, 4.528 Å, intensity 100.0, (0 2 0)
25.4 deg, 3.512 Å, intensity 22.3, (-1 1 2)
32.4 deg, 2.761 Å, intensity 21.9, (1 -1 3)
35.5 deg, 2.525 Å, intensity 29.1, (2 0 -3)
62.7 deg, 1.481 Å, intensity 25.4, (2 6 -4)

Simulated powder diffraction line list of Li2MnSiO4 for Cu Ka, from a DFT-relaxed cell (PBE+U, the Materials Project).

abc: 5.984 5.468 11.061
angles: 90.00 97.29 90.00
Space group P2_1/c (No. 14)
Unique sites:
Li 0.043 0.178 0.168 (multiplicity 4)
Li 0.226 0.180 0.927 (multiplicity 4)
Mn 0.425 0.679 0.832 (multiplicity 4)
Si 0.257 0.682 0.089 (multiplicity 4)
O 0.091 0.695 0.680 (multiplicity 4)
O 0.237 0.117 0.575 (multiplicity 4)
O 0.239 0.675 0.457 (multiplicity 4)
O 0.478 0.214 0.337 (multiplicity 4)

Most intense lines, 2θ = 10–90°, low angle first:
14.9 deg, 5.935 Å, intensity 87.5, (1 0 0)
22.1 deg, 4.022 Å, intensity 100.0, (1 1 0)
31.6 deg, 2.830 Å, intensity 55.8, (1 1 -3)
32.8 deg, 2.734 Å, intensity 56.5, (0 2 0)
36.2 deg, 2.482 Å, intensity 79.4, (2 0 2)
57.8 deg, 1.596 Å, intensity 35.7, (1 3 -3)